The following is a theoretical powder XRD pattern of Pm4Ga5Ni3. It was derived from a DFT-relaxed cell (PBE, Alexandria), using Cu Kα X-rays.
No peak broadening, texture or thermal motion is included.

Structure:
Cell: 7.7298 7.7298 9.1659 Å, 115.49 115.49 33.16°
Atoms (fractional coordinates):
Pm  0.0399  0.0399  0.3158
Pm  0.2433  0.2433  0.8165
Pm  0.7567  0.7567  0.1835
Pm  0.9601  0.9601  0.6842
Ga  0.2926  0.2926  0.5147
Ga  0.4111  0.4111  0.3923
Ga  0.5000  0.5000  0.0000
Ga  0.5889  0.5889  0.6077
Ga  0.7074  0.7074  0.4853
Ni  0.0000  0.0000  0.0000
Ni  0.3906  0.3906  0.1227
Ni  0.6094  0.6094  0.8773

Main lines, by angle (10 to 80 degrees two-theta):
| Position (°2θ) | I/Imax |
| --- | --- |
| 26.94 | 27 |
| 27.16 | 54 |
| 28.24 | 64 |
| 28.61 | 29 |
| 29.26 | 35 |
| 33.84 | 100 |
| 36.66 | 26 |
| 37.16 | 69 |
| 40.91 | 64 |
| 41.04 | 46 |
| 51.13 | 36 |
| 59.33 | 31 |